[1]
Starting from a GGA-PBE-relaxed structure, the powder diffractogram of K2NdF5 was computed for Cu Kα X-rays.

Principal peaks in the range 10 to 90 degrees two-theta, by angle:
15.32 deg, intensity 100
15.96 deg, intensity 49
26.30 deg, intensity 30
27.46 deg, intensity 68
28.21 deg, intensity 84
28.57 deg, intensity 55
39.22 deg, intensity 44
40.31 deg, intensity 33
44.95 deg, intensity 30
49.46 deg, intensity 34

a b c (Å): 11.105 7.558 6.777
angles (deg): 90.00 90.00 90.00
Element x y z (fractional)
K  0.173  0.003  0.025
K  0.173  0.497  0.025
K  0.327  0.503  0.525
K  0.327  0.997  0.525
K  0.673  0.003  0.475
K  0.673  0.497  0.475
K  0.827  0.503  0.975
K  0.827  0.997  0.975
Nd  0.002  0.250  0.567
Nd  0.498  0.750  0.067
Nd  0.502  0.250  0.933
Nd  0.998  0.750  0.433
F  0.011  0.250  0.905
F  0.083  0.532  0.645
F  0.083  0.968  0.645
F  0.167  0.250  0.361
F  0.197  0.750  0.328
F  0.303  0.250  0.828
F  0.333  0.750  0.861
F  0.417  0.032  0.145
F  0.417  0.468  0.145
F  0.489  0.750  0.405
F  0.511  0.250  0.595
F  0.583  0.532  0.855
F  0.583  0.968  0.855
F  0.667  0.250  0.139
F  0.697  0.750  0.172
F  0.803  0.250  0.672
F  0.833  0.750  0.639
F  0.917  0.032  0.355
F  0.917  0.468  0.355
F  0.989  0.750  0.095

[2]
Starting from a GGA-PBE-relaxed structure, the powder diffractogram of K3NdF6 was computed for Cu Kα X-rays.

Principal peaks in the range 10 to 90 degrees two-theta, by angle:
15.94 deg, intensity 51
18.42 deg, intensity 46
26.17 deg, intensity 100
30.79 deg, intensity 25
37.35 deg, intensity 53
41.95 deg, intensity 21
46.17 deg, intensity 40
53.85 deg, intensity 33
60.83 deg, intensity 18
73.60 deg, intensity 20

a b c (Å): 6.810 6.810 6.810
angles (deg): 60.00 60.00 60.00
Element x y z (fractional)
K  0.000  0.000  0.000
K  0.250  0.250  0.250
K  0.750  0.750  0.750
Nd  0.500  0.500  0.500
F  0.264  0.264  0.736
F  0.264  0.736  0.264
F  0.264  0.736  0.736
F  0.736  0.264  0.264
F  0.736  0.264  0.736
F  0.736  0.736  0.264

[3]
Starting from a GGA-PBE-relaxed structure, the powder diffractogram of KNdF4 was computed for Cu Kα X-rays.

Principal peaks in the range 10 to 90 degrees two-theta, by angle:
11.22 deg, intensity 91
18.03 deg, intensity 74
26.68 deg, intensity 87
28.12 deg, intensity 100
28.35 deg, intensity 35
29.11 deg, intensity 49
37.13 deg, intensity 35
41.08 deg, intensity 73
47.37 deg, intensity 34
49.23 deg, intensity 71

a b c (Å): 6.297 3.778 15.768
angles (deg): 90.00 90.00 90.00
Element x y z (fractional)
K  0.223  0.250  0.202
K  0.277  0.750  0.702
K  0.723  0.250  0.298
K  0.777  0.750  0.798
Nd  0.249  0.750  0.439
Nd  0.251  0.250  0.939
Nd  0.749  0.750  0.061
Nd  0.751  0.250  0.561
F  0.004  0.250  0.058
F  0.088  0.250  0.806
F  0.106  0.250  0.365
F  0.134  0.250  0.535
F  0.366  0.750  0.035
F  0.394  0.750  0.865
F  0.412  0.750  0.306
F  0.496  0.750  0.558
F  0.504  0.250  0.442
F  0.588  0.250  0.694
F  0.606  0.250  0.135
F  0.634  0.250  0.965
F  0.866  0.750  0.465
F  0.894  0.750  0.635
F  0.912  0.750  0.194
F  0.996  0.750  0.942

[4]
Starting from a GGA-PBE-relaxed structure, the powder diffractogram of K2RbNdF6 was computed for Cu Kα X-rays.

Principal peaks in the range 10 to 90 degrees two-theta, by angle:
15.53 deg, intensity 15
17.96 deg, intensity 54
25.50 deg, intensity 100
36.37 deg, intensity 47
40.85 deg, intensity 26
44.95 deg, intensity 41
52.39 deg, intensity 29
55.83 deg, intensity 13
59.14 deg, intensity 20
71.45 deg, intensity 22

a b c (Å): 6.986 6.986 6.986
angles (deg): 60.00 60.00 60.00
Element x y z (fractional)
K  0.250  0.250  0.250
K  0.750  0.750  0.750
Rb  0.000  0.000  0.000
Nd  0.500  0.500  0.500
F  0.270  0.270  0.730
F  0.270  0.730  0.270
F  0.270  0.730  0.730
F  0.730  0.270  0.270
F  0.730  0.270  0.730
F  0.730  0.730  0.270

[5]
Starting from a GGA-PBE-relaxed structure, the powder diffractogram of KNp2F9 was computed for Cu Kα X-rays.

Principal peaks in the range 10 to 90 degrees two-theta, by angle:
15.31 deg, intensity 100
24.04 deg, intensity 51
26.38 deg, intensity 46
27.46 deg, intensity 47
28.62 deg, intensity 46
31.59 deg, intensity 37
41.09 deg, intensity 27
46.31 deg, intensity 25
46.68 deg, intensity 28
46.96 deg, intensity 30

a b c (Å): 8.722 11.571 6.999
angles (deg): 90.00 90.00 90.00
Element x y z (fractional)
K  0.034  0.250  0.143
K  0.466  0.750  0.643
K  0.534  0.250  0.357
K  0.966  0.750  0.857
Np  0.172  0.051  0.658
Np  0.172  0.449  0.658
Np  0.328  0.551  0.158
Np  0.328  0.949  0.158
Np  0.672  0.051  0.842
Np  0.672  0.449  0.842
Np  0.828  0.551  0.342
Np  0.828  0.949  0.342
F  0.004  0.598  0.572
F  0.004  0.902  0.572
F  0.067  0.578  0.195
F  0.067  0.922  0.195
F  0.175  0.250  0.658
F  0.210  0.096  0.969
F  0.210  0.404  0.969
F  0.216  0.606  0.852
F  0.216  0.894  0.852
F  0.284  0.106  0.352
F  0.284  0.394  0.352
F  0.290  0.596  0.469
F  0.290  0.904  0.469
F  0.325  0.750  0.158
F  0.433  0.078  0.695
F  0.433  0.422  0.695
F  0.496  0.098  0.072
F  0.496  0.402  0.072
F  0.504  0.598  0.928
F  0.504  0.902  0.928
F  0.567  0.578  0.305
F  0.567  0.922  0.305
F  0.675  0.250  0.842
F  0.710  0.096  0.531
F  0.710  0.404  0.531
F  0.716  0.606  0.648
F  0.716  0.894  0.648
F  0.784  0.106  0.148
F  0.784  0.394  0.148
F  0.790  0.596  0.031
F  0.790  0.904  0.031
F  0.825  0.750  0.342
F  0.933  0.078  0.805
F  0.933  0.422  0.805
F  0.996  0.098  0.428
F  0.996  0.402  0.428

[6]
Starting from a GGA-PBE-relaxed structure, the powder diffractogram of K3NpO2F5 was computed for Cu Kα X-rays.

Principal peaks in the range 10 to 90 degrees two-theta, by angle:
16.60 deg, intensity 100
19.12 deg, intensity 46
19.31 deg, intensity 12
27.17 deg, intensity 34
27.31 deg, intensity 59
32.00 deg, intensity 30
38.80 deg, intensity 22
43.64 deg, intensity 19
48.10 deg, intensity 28
51.15 deg, intensity 13

a b c (Å): 11.295 11.295 11.295
angles (deg): 131.47 131.47 71.07
Element x y z (fractional)
K  0.027  0.722  0.726
K  0.125  0.375  0.750
K  0.199  0.473  0.195
K  0.222  0.997  0.695
K  0.375  0.125  0.250
K  0.497  0.301  0.774
K  0.503  0.699  0.226
K  0.625  0.875  0.750
K  0.778  0.003  0.305
K  0.801  0.527  0.805
K  0.875  0.625  0.250
K  0.973  0.278  0.274
Np  0.146  0.896  0.250
Np  0.396  0.646  0.750
Np  0.604  0.354  0.250
Np  0.854  0.104  0.750
O  0.046  0.144  0.984
O  0.340  0.938  0.484
O  0.356  0.840  0.902
O  0.438  0.454  0.598
O  0.562  0.546  0.402
O  0.644  0.160  0.098
O  0.660  0.062  0.516
O  0.954  0.856  0.016
F  0.020  0.770  0.250
F  0.058  0.083  0.431
F  0.126  0.558  0.474
F  0.152  0.626  0.069
F  0.225  0.138  0.374
F  0.264  0.851  0.126
F  0.270  0.520  0.750
F  0.351  0.725  0.587
F  0.362  0.236  0.087
F  0.417  0.348  0.974
F  0.583  0.652  0.026
F  0.638  0.764  0.913
F  0.649  0.275  0.413
F  0.730  0.480  0.250
F  0.736  0.149  0.874
F  0.775  0.862  0.626
F  0.848  0.374  0.931
F  0.874  0.442  0.526
F  0.942  0.917  0.569
F  0.980  0.230  0.750

[7]
Starting from a GGA-PBE-relaxed structure, the powder diffractogram of K3NpO2F5 was computed for Cu Kα X-rays.

Principal peaks in the range 10 to 90 degrees two-theta, by angle:
16.53 deg, intensity 100
19.02 deg, intensity 49
27.03 deg, intensity 32
27.22 deg, intensity 63
31.85 deg, intensity 30
38.60 deg, intensity 26
47.87 deg, intensity 27
50.88 deg, intensity 14
59.50 deg, intensity 15
63.05 deg, intensity 13

a b c (Å): 11.325 11.325 11.325
angles (deg): 131.35 131.35 71.26
Element x y z (fractional)
K  0.000  0.208  0.208
K  0.000  0.792  0.792
K  0.125  0.875  0.250
K  0.208  0.000  0.708
K  0.208  0.500  0.208
K  0.375  0.625  0.750
K  0.500  0.208  0.708
K  0.500  0.792  0.292
K  0.625  0.375  0.250
K  0.792  0.000  0.292
K  0.792  0.500  0.792
K  0.875  0.125  0.750
Np  0.147  0.397  0.750
Np  0.397  0.147  0.250
Np  0.603  0.853  0.750
Np  0.853  0.603  0.250
O  0.048  0.602  0.446
O  0.344  0.398  0.946
O  0.398  0.344  0.446
O  0.398  0.952  0.054
O  0.602  0.048  0.946
O  0.602  0.656  0.554
O  0.656  0.602  0.054
O  0.952  0.398  0.554
F  0.021  0.271  0.750
F  0.104  0.124  0.519
F  0.104  0.585  0.981
F  0.124  0.104  0.019
F  0.245  0.349  0.604
F  0.245  0.641  0.896
F  0.271  0.021  0.250
F  0.349  0.245  0.104
F  0.359  0.755  0.604
F  0.415  0.896  0.519
F  0.585  0.104  0.481
F  0.641  0.245  0.396
F  0.651  0.755  0.896
F  0.729  0.979  0.750
F  0.755  0.359  0.104
F  0.755  0.651  0.396
F  0.876  0.896  0.981
F  0.896  0.415  0.019
F  0.896  0.876  0.481
F  0.979  0.729  0.250

[8]
Starting from a GGA-PBE-relaxed structure, the powder diffractogram of KO4F was computed for Cu Kα X-rays.

Principal peaks in the range 10 to 90 degrees two-theta, by angle:
21.01 deg, intensity 21
27.61 deg, intensity 26
27.89 deg, intensity 45
30.97 deg, intensity 100
31.92 deg, intensity 37
32.06 deg, intensity 63
34.94 deg, intensity 26
35.00 deg, intensity 48
35.88 deg, intensity 21
42.70 deg, intensity 26

a b c (Å): 6.397 12.914 11.215
angles (deg): 90.00 90.00 90.00
Element x y z (fractional)
K  0.197  0.157  0.059
K  0.197  0.343  0.559
K  0.303  0.657  0.059
K  0.303  0.843  0.559
K  0.697  0.157  0.441
K  0.697  0.343  0.941
K  0.803  0.657  0.441
K  0.803  0.843  0.941
O  0.121  0.646  0.647
O  0.121  0.854  0.147
O  0.147  0.108  0.336
O  0.147  0.392  0.836
O  0.233  0.084  0.640
O  0.233  0.416  0.140
O  0.245  0.535  0.371
O  0.245  0.965  0.871
O  0.255  0.035  0.371
O  0.255  0.465  0.871
O  0.267  0.584  0.640
O  0.267  0.916  0.140
O  0.353  0.608  0.336
O  0.353  0.892  0.836
O  0.379  0.146  0.647
O  0.379  0.354  0.147
O  0.621  0.646  0.853
O  0.621  0.854  0.353
O  0.647  0.108  0.164
O  0.647  0.392  0.664
O  0.733  0.084  0.860
O  0.733  0.416  0.360
O  0.745  0.535  0.129
O  0.745  0.965  0.629
O  0.755  0.035  0.129
O  0.755  0.465  0.629
O  0.767  0.584  0.860
O  0.767  0.916  0.360
O  0.853  0.608  0.164
O  0.853  0.892  0.664
O  0.879  0.146  0.853
O  0.879  0.354  0.353
F  0.108  0.732  0.888
F  0.108  0.768  0.388
F  0.392  0.232  0.888
F  0.392  0.268  0.388
F  0.608  0.732  0.612
F  0.608  0.768  0.112
F  0.892  0.232  0.612
F  0.892  0.268  0.112